Entry 1:
Starting from a PBE-relaxed structure, the PXRD pattern of USb3Pd12 was simulated for a wavelength of 1.5418 Å.
Kinematic intensities with the Lorentz-polarization factor, no thermal factor.

The 6 most intense peaks (5 to 70 degrees two-theta), low angle first:
2theta  I/Imax
5.47  4.3
38.16  100.0
44.08  33.2
44.89  15.5
64.10  10.7
64.73  20.5

Atomic structure:
Cell lengths 4.1089, 4.1089, 16.1549 Å; angles 90.00, 90.00, 90.00 degrees
Space group P4/mmm (No. 123)
Unique sites:
U  0.0000  0.0000  0.0000
Sb  0.0000  0.0000  0.2562
Sb  0.0000  0.0000  0.5000
Pd  0.0000  0.5000  0.1247
Pd  0.0000  0.5000  0.3763
Pd  0.5000  0.5000  0.0000
Pd  0.5000  0.5000  0.2515
Pd  0.5000  0.5000  0.5000


Entry 2:
Starting from a PBE-relaxed structure, the PXRD pattern of U5Ni2P5 was simulated for a wavelength of 1.5418 Å.
Kinematic intensities with the Lorentz-polarization factor, no thermal factor.

The 6 most intense peaks (5 to 70 degrees two-theta), low angle first:
2theta  I/Imax
22.59  83.0
24.79  76.9
28.39  100.0
33.78  82.3
36.16  87.8
43.73  90.0

Atomic structure:
Cell lengths 12.8964, 3.7936, 10.4624 Å; angles 90.00, 120.28, 90.00 degrees
Space group C2/m (No. 12)
Unique sites:
U  0.0000  0.0000  0.0000
U  0.1596  0.0000  0.5315
U  0.1739  0.0000  0.7759
Ni  0.0671  0.5000  0.2847
P  0.0000  0.5000  0.5000
P  0.1164  0.5000  0.9261
P  0.1812  0.0000  0.2791


Entry 3:
Starting from a PBE-relaxed structure, the PXRD pattern of Pm2BiN was simulated for a wavelength of 1.5418 Å.
Kinematic intensities with the Lorentz-polarization factor, no thermal factor.

The 6 most intense peaks (5 to 70 degrees two-theta), low angle first:
2theta  I/Imax
28.48  74.3
28.67  55.5
33.06  100.0
38.26  60.5
48.51  53.0
56.50  32.8

Atomic structure:
Cell lengths 4.7047, 4.7047, 9.3395 Å; angles 90.00, 90.00, 90.00 degrees
Space group P4/nmm (No. 129, origin choice 2)
Unique sites:
Pm  0.2500  0.2500  0.1777
Pm  0.2500  0.7500  0.5000
Bi  0.2500  0.2500  0.8082
N  0.2500  0.2500  0.4199